Diffraction record for Li4LaAl4. The powder XRD pattern is computed, not measured: it uses a cell relaxed with GGA-PBE and CuKα.
No peak broadening, texture or thermal motion is included.

Largest 10 diffraction maxima, low angle first, 15° ≤ 2θ ≤ 90°:
2θ/deg  intensity
20.0  75
21.7  100
28.5  27
29.7  82
31.9  55
36.1  50
41.6  58
51.3  29
59.7  23
67.5  33

Cell and atoms:
```
9
Lattice="-4.4317 4.4317 2.3046 4.4317 -4.4317 2.3046 4.4317 4.4317 -2.3046" Properties=species:S:1:pos:R:3 pbc="T T T"
Li 6.7034 1.3064 0.0000
Li 1.3064 2.1600 0.0000
Li 3.1252 2.2717 2.3046
Li -2.2717 3.1252 2.3046
La 0.0000 0.0000 2.3046
Al 3.7342 1.0980 0.0000
Al 3.3337 -0.6974 2.3046
Al 1.0980 5.1291 0.0000
Al 0.6974 3.3337 2.3046
```

Diffraction record for SmGe12Rh4. The powder XRD pattern is computed, not measured: it uses a cell relaxed with GGA-PBE and CuKα.
No peak broadening, texture or thermal motion is included.

Largest 10 diffraction maxima, low angle first, 15° ≤ 2θ ≤ 90°:
2θ/deg  intensity
29.2  35
32.8  100
39.0  48
47.0  32
51.8  49
54.1  38
68.7  15
74.4  15
76.3  11
85.6  10

Cell and atoms:
```
17
Lattice="-4.3223 4.3223 4.3223 4.3223 -4.3223 4.3223 4.3223 4.3223 -4.3223" Properties=species:S:1:pos:R:3 pbc="T T T"
Sm 0.0000 0.0000 0.0000
Ge 3.0194 1.3258 0.0000
Ge 5.6252 1.3258 0.0000
Ge 4.3223 -1.3029 2.9965
Ge 2.9965 4.3223 -1.3029
Ge 1.3258 0.0000 3.0194
Ge 4.3223 1.3029 2.9965
Ge 0.0000 3.0194 1.3258
Ge 2.9965 4.3223 1.3029
Ge 1.3258 0.0000 5.6252
Ge 0.0000 5.6252 1.3258
Ge -1.3029 2.9965 4.3223
Ge 1.3029 2.9965 4.3223
Rh 2.1612 2.1612 -2.1612
Rh 2.1612 -2.1612 2.1612
Rh -2.1612 2.1612 2.1612
Rh 2.1612 2.1612 2.1612
```

Diffraction record for PrDy3Ho8. The powder XRD pattern is computed, not measured: it uses a cell relaxed with GGA-PBE and CuKα.
No peak broadening, texture or thermal motion is included.

Largest 10 diffraction maxima, low angle first, 15° ≤ 2θ ≤ 90°:
2θ/deg  intensity
27.5  17
31.5  51
31.8  100
32.2  68
36.0  37
45.7  17
51.9  22
56.3  17
56.9  19
66.5  23

Cell and atoms:
```
12
Lattice="-3.1968 5.6328 5.6745 3.1968 -5.6328 5.6745 3.1968 5.6328 -5.6745" Properties=species:S:1:pos:R:3 pbc="T T T"
Pr 0.0000 0.0000 0.0000
Dy 3.1968 0.0000 2.9092
Dy 0.0000 0.0000 5.6745
Dy 0.0000 5.6328 2.7653
Ho 3.1968 3.7250 -2.8286
Ho 1.5777 2.8920 0.0000
Ho 1.6191 -2.7408 5.6745
Ho 0.0000 1.9078 2.8459
Ho 3.1968 3.7250 2.8286
Ho 1.5777 8.3736 0.0000
Ho 1.6191 2.7408 5.6745
Ho 0.0000 1.9078 8.5030
```

Diffraction record for Sc2SbN. The powder XRD pattern is computed, not measured: it uses a cell relaxed with GGA-PBE and CuKα.
No peak broadening, texture or thermal motion is included.

Largest 10 diffraction maxima, low angle first, 15° ≤ 2θ ≤ 90°:
2θ/deg  intensity
23.5  36
29.9  79
31.8  100
36.8  61
42.8  49
44.2  26
54.3  43
63.2  20
71.5  30
74.4  18

Cell and atoms:
```
8
Lattice="4.2267 0.0000 0.0000 0.0000 4.2267 0.0000 0.0000 0.0000 8.4552" Properties=species:S:1:pos:R:3 pbc="T T T"
Sc 1.0567 1.0567 1.5617
Sc 1.0567 3.1700 4.2276
Sc 3.1700 1.0567 4.2276
Sc 3.1700 3.1700 6.8935
Sb 1.0567 1.0567 6.9533
Sb 3.1700 3.1700 1.5020
N 1.0567 1.0567 3.6299
N 3.1700 3.1700 4.8254
```

Diffraction record for Sm3SeO7. The powder XRD pattern is computed, not measured: it uses a cell relaxed with GGA-PBE and CuKα.
No peak broadening, texture or thermal motion is included.

Largest 10 diffraction maxima, low angle first, 15° ≤ 2θ ≤ 90°:
2θ/deg  intensity
28.6  99
28.7  100
33.0  44
33.6  20
47.3  12
47.6  18
47.8  55
56.3  11
56.5  29
57.1  19

Cell and atoms:
```
22
Lattice="6.5662 0.0000 0.0000 0.0000 7.6476 0.0000 -2.0815 0.0000 6.2440" Properties=species:S:1:pos:R:3 pbc="T T T"
Sm -0.9532 0.0000 2.9030
Sm 2.0556 5.6737 2.9015
Sm 3.0727 3.7313 0.0119
Sm 1.4121 7.5551 6.2321
Sm 2.4292 1.8499 3.3425
Sm 5.4380 3.8238 3.3411
Se 0.0656 1.9393 0.0251
Se 4.4192 5.7631 6.2189
O -0.2896 2.1131 1.7958
O -1.5900 3.6829 5.8824
O -0.1798 5.5322 2.0935
O 1.8691 1.6229 0.3510
O 1.9345 5.8420 0.4655
O 1.0560 3.7329 3.9797
O 1.1202 7.6130 3.9368
O 3.3646 3.7891 2.3072
O 3.4288 7.5567 2.2644
O 2.5503 2.0182 5.7786
O 2.6156 5.4467 5.8930
O 4.6645 1.7084 4.1506
O 6.0748 7.5067 0.3616
O 4.7744 5.9370 4.4482
```

Diffraction record for RuW2. The powder XRD pattern is computed, not measured: it uses a cell relaxed with GGA-PBE and CuKα.
No peak broadening, texture or thermal motion is included.

Largest 10 diffraction maxima, low angle first, 15° ≤ 2θ ≤ 90°:
2θ/deg  intensity
23.0  7
32.8  10
40.4  100
47.0  1
52.9  17
58.4  14
68.7  4
73.4  25
82.8  19
87.3  7

Cell and atoms:
```
3
Lattice="4.4666 0.0000 0.0000 -2.2333 3.8682 0.0000 0.0000 0.0000 2.7342" Properties=species:S:1:pos:R:3 pbc="T T T"
Ru 0.0000 0.0000 0.0000
W 0.0000 2.5788 1.3671
W 2.2333 1.2894 1.3671
```

Diffraction record for Li2SnSe3. The powder XRD pattern is computed, not measured: it uses a cell relaxed with GGA-PBE and CuKα.
No peak broadening, texture or thermal motion is included.

Largest 10 diffraction maxima, low angle first, 15° ≤ 2θ ≤ 90°:
2θ/deg  intensity
16.3  33
24.3  100
26.2  70
27.7  28
27.9  33
35.6  26
42.6  29
42.7  58
47.2  28
47.6  25

Cell and atoms:
```
12
Lattice="6.3631 -3.6617 0.0000 6.3631 3.6617 0.0000 -4.0855 0.0000 6.7991" Properties=species:S:1:pos:R:3 pbc="T T T"
Li 4.3203 3.1824 3.3996
Li 8.4724 0.6495 0.1698
Li 6.4296 -0.6495 3.5693
Li 6.3631 -3.1824 0.0000
Sn -0.0218 0.6288 6.7436
Sn 2.0210 -0.6288 3.3440
Se 0.0434 0.7029 2.5494
Se -1.9993 -0.7029 5.9490
Se 4.2532 0.5826 2.5970
Se 2.2104 -0.5826 5.9966
Se 8.4628 0.6044 2.6956
Se 6.4200 -0.6044 6.0951
```

Diffraction record for Nd4SmY2Mg. The powder XRD pattern is computed, not measured: it uses a cell relaxed with GGA-PBE and CuKα.
No peak broadening, texture or thermal motion is included.

Largest 10 diffraction maxima, low angle first, 15° ≤ 2θ ≤ 90°:
2θ/deg  intensity
24.5  7
31.0  53
31.4  100
44.4  20
45.6  8
55.4  40
56.2  18
65.6  11
73.5  9
73.7  8

Cell and atoms:
```
8
Lattice="5.7609 0.0000 0.0000 0.0000 5.7698 0.0000 0.0000 0.0000 7.9501" Properties=species:S:1:pos:R:3 pbc="T T T"
Nd 0.0000 0.0000 1.8525
Nd 0.0000 0.0000 6.0976
Nd 2.8805 2.8849 1.8626
Nd 2.8805 2.8849 6.0875
Sm 0.0000 2.8849 3.9750
Y 0.0000 2.8849 0.0000
Y 2.8805 0.0000 3.9750
Mg 2.8805 0.0000 0.0000
```

Diffraction record for La2Dy6Zn. The powder XRD pattern is computed, not measured: it uses a cell relaxed with GGA-PBE and CuKα.
No peak broadening, texture or thermal motion is included.

Largest 10 diffraction maxima, low angle first, 15° ≤ 2θ ≤ 90°:
2θ/deg  intensity
26.0  9
30.8  11
32.0  100
32.2  60
32.6  46
36.0  10
46.3  19
57.2  9
57.3  8
57.9  25

Cell and atoms:
```
18
Lattice="9.7272 0.0000 0.0000 0.0000 10.2584 0.0000 0.0000 0.0000 5.4895" Properties=species:S:1:pos:R:3 pbc="T T T"
La 1.7683 2.4805 0.0000
La 3.0953 7.6097 2.7448
La 6.6318 2.6487 2.7448
La 7.9589 7.7779 0.0000
Dy 0.0855 1.9306 2.7448
Dy 1.3417 6.1511 0.0000
Dy 1.8863 9.4418 0.0000
Dy 2.9773 4.3126 2.7448
Dy 3.5218 1.0219 2.7448
Dy 4.7781 7.0597 0.0000
Dy 4.9491 3.1986 0.0000
Dy 6.2053 9.2364 2.7448
Dy 6.7499 5.9457 2.7448
Dy 7.8409 0.8165 0.0000
Dy 8.3854 4.1073 0.0000
Dy 9.6417 8.3278 2.7448
Zn 0.0000 5.1292 2.7448
Zn 4.8636 0.0000 0.0000
```